Entry 1:
Computed X-ray powder pattern of Ca6TiO8 for Cu Kα X-rays, from a PBE-relaxed structure.
No peak broadening, texture or thermal motion is included.

Cell and atoms:
Lattice parameters (Å, degrees): 9.496 9.496 9.496 90.00 90.00 90.00
Space group Fm-3m (No. 225)
One atom of each set of equivalent atoms:
Ca  0.000  0.250  0.250 x24
Ti  0.000  0.000  0.000 x4
O  0.000  0.000  0.214 x24
O  0.250  0.250  0.250 x8

Top 10 peaks for 2θ = 10–90°, low angle first:
h k l, 2θ/deg, I/Imax
1 1 1, 16.17, 37.0
3 1 1, 31.24, 6.8
2 2 2, 32.67, 36.3
4 0 0, 37.90, 100.0
5 1 1, 49.90, 7.6
4 4 0, 54.68, 55.3
5 3 1, 57.41, 4.6
6 2 2, 65.16, 18.8
4 4 4, 68.45, 15.9
8 0 0, 81.00, 6.9



Entry 2:
Computed X-ray powder pattern of MgIn for Cu Kα X-rays, from a PBE-relaxed structure.
No peak broadening, texture or thermal motion is included.

Cell and atoms:
Lattice parameters (Å, degrees): 7.319 7.319 7.319 90.00 90.00 90.00
Space group Fd-3m (No. 227, origin choice 2)
One atom of each set of equivalent atoms:
Mg  0.125  0.125  0.125 x8
In  0.125  0.125  0.625 x8

Top 10 peaks for 2θ = 10–90°, low angle first:
h k l, 2θ/deg, I/Imax
1 1 1, 21.02, 47.6
2 2 0, 34.67, 100.0
3 1 1, 40.89, 25.7
4 0 0, 49.84, 17.3
3 3 1, 54.66, 10.7
4 2 2, 62.13, 34.8
5 1 1, 66.37, 7.8
4 4 0, 73.15, 10.6
5 3 1, 77.09, 7.7
6 2 0, 83.55, 14.9



Entry 3:
Computed X-ray powder pattern of Tb2DyCu for Cu Kα X-rays, from a PBE-relaxed structure.
No peak broadening, texture or thermal motion is included.

Cell and atoms:
Lattice parameters (Å, degrees): 3.5754 3.5754 29.8556 90.00 90.00 120.00
Space group R-3m (No. 166, hexagonal axes)
One atom of each set of equivalent atoms:
Tb  0.0000  0.0000  0.2355 x6
Dy  0.0000  0.0000  0.0000 x3
Cu  0.0000  0.0000  0.5000 x3

Top 10 peaks for 2θ = 10–90°, low angle first:
h k l, 2θ/deg, I/Imax
0 0 9, 26.88, 18.3
1 0 4, 31.27, 100.0
0 1 5, 32.57, 17.1
0 1 8, 37.75, 47.4
1 0 13, 49.41, 15.1
1 1 0, 51.09, 27.3
1 1 9, 58.66, 12.8
0 2 4, 61.13, 14.6
1 1 12, 64.15, 12.8
2 1 4, 83.64, 12.1



Entry 4:
Computed X-ray powder pattern of HoTm4Hg2 for Cu Kα X-rays, from a PBE-relaxed structure.
No peak broadening, texture or thermal motion is included.

Cell and atoms:
Lattice parameters (Å, degrees): 4.9945 4.9945 30.0728 90.00 90.00 120.00
Space group R-3m (No. 166, hexagonal axes)
One atom of each set of equivalent atoms:
Ho  0.0000  0.0000  0.0000 x3
Tm  0.0000  0.0000  0.2028 x6
Tm  0.0000  0.0000  0.3941 x6
Hg  0.0000  0.0000  0.1009 x6

Top 10 peaks for 2θ = 10–90°, low angle first:
h k l, 2θ/deg, I/Imax
1 0 1, 20.75, 26.1
1 0 4, 23.73, 21.4
0 1 5, 25.36, 29.7
1 1 0, 35.96, 100.0
1 0 10, 36.39, 92.5
0 2 10, 52.09, 33.5
3 0 0, 64.65, 18.4
2 1 10, 64.92, 34.7
0 1 20, 65.75, 15.2
1 3 10, 87.56, 16.5



Entry 5:
Computed X-ray powder pattern of Ho4Zn5Pt6 for Cu Kα X-rays, from a PBE-relaxed structure.
No peak broadening, texture or thermal motion is included.

Cell and atoms:
Lattice parameters (Å, degrees): 3.991 20.578 14.162 90.00 90.00 90.00
Space group Cmc2_1 (No. 36)
One atom of each set of equivalent atoms:
Ho  0.000  0.027  0.000 x4
Ho  0.000  0.051  0.265 x4
Ho  0.000  0.140  0.777 x4
Ho  0.000  0.181  0.436 x4
Zn  0.000  0.182  0.112 x4
Zn  0.000  0.318  0.104 x4
Zn  0.000  0.326  0.768 x4
Zn  0.000  0.352  0.456 x4
Zn  0.000  0.464  0.157 x4
Pt  0.000  0.097  0.588 x4
Pt  0.000  0.225  0.940 x4
Pt  0.000  0.255  0.263 x4
Pt  0.000  0.408  0.623 x4
Pt  0.000  0.419  0.919 x4
Pt  0.000  0.454  0.345 x4

Top 10 peaks for 2θ = 10–90°, low angle first:
h k l, 2θ/deg, I/Imax
1 3 1, 26.60, 33.6
1 5 1, 31.87, 36.9
1 5 2, 33.75, 26.9
1 1 4, 34.13, 43.8
1 5 3, 36.69, 100.0
0 0 6, 38.13, 26.8
1 7 1, 38.56, 19.1
1 5 4, 40.50, 23.6
1 7 3, 42.73, 39.3
2 0 0, 45.45, 48.5



Entry 6:
Computed X-ray powder pattern of AcNd6YHo2 for Cu Kα X-rays, from a PBE-relaxed structure.
No peak broadening, texture or thermal motion is included.

Cell and atoms:
Lattice parameters (Å, degrees): 9.392 15.528 9.801 90.00 96.11 90.00
Space group C2/c (No. 15)
One atom of each set of equivalent atoms:
Ac  0.000  0.028  0.250 x4
Nd  0.062  0.184  0.946 x8
Nd  0.100  0.391  0.119 x8
Nd  0.217  0.228  0.317 x8
Y  0.000  0.412  0.750 x4
Ho  0.241  0.446  0.453 x8

Top 10 peaks for 2θ = 10–90°, low angle first:
h k l, 2θ/deg, I/Imax
1 3 2, 27.56, 78.8
3 1 -1, 29.78, 100.0
2 2 2, 30.17, 72.2
1 5 0, 30.33, 42.4
2 4 -1, 30.72, 37.6
1 5 -1, 31.42, 32.2
3 1 -2, 32.96, 13.9
1 3 -3, 33.10, 38.7
1 1 -4, 37.60, 16.0
4 0 4, 57.50, 18.9



Entry 7:
Computed X-ray powder pattern of Zr4HSe3 for Cu Kα X-rays, from a PBE-relaxed structure.
No peak broadening, texture or thermal motion is included.

Cell and atoms:
Lattice parameters (Å, degrees): 10.226 5.866 5.173 90.00 90.00 90.00
Space group Pmn2_1 (No. 31)
One atom of each set of equivalent atoms:
Zr  0.000  0.164  0.000 x2
Zr  0.000  0.829  0.508 x2
Zr  0.241  0.828  0.998 x4
H  0.000  0.824  0.931 x2
Se  0.000  0.319  0.499 x2
Se  0.248  0.682  0.499 x4

Top 10 peaks for 2θ = 10–90°, low angle first:
h k l, 2θ/deg, I/Imax
0 2 0, 30.48, 26.8
0 0 2, 34.68, 55.4
4 0 0, 35.10, 53.2
2 2 1, 39.47, 100.0
0 2 2, 46.83, 15.7
4 2 0, 47.16, 15.2
4 0 2, 50.18, 37.3
2 2 3, 65.38, 21.7
6 2 1, 65.91, 21.5
2 4 1, 69.06, 24.6



Entry 8:
Computed X-ray powder pattern of LiSmTe for Cu Kα X-rays, from a PBE-relaxed structure.
No peak broadening, texture or thermal motion is included.

Cell and atoms:
Lattice parameters (Å, degrees): 7.561 4.232 9.165 90.00 90.00 90.00
Space group Pnma (No. 62)
One atom of each set of equivalent atoms:
Li  0.142  0.250  0.063 x4
Sm  0.037  0.250  0.662 x4
Te  0.226  0.750  0.872 x4

Top 10 peaks for 2θ = 10–90°, low angle first:
h k l, 2θ/deg, I/Imax
1 0 1, 15.19, 30.0
1 0 2, 22.69, 26.5
1 1 1, 26.01, 46.3
1 1 2, 31.10, 67.4
1 0 3, 31.59, 25.2
2 1 1, 33.25, 100.0
1 1 3, 38.23, 27.5
3 0 2, 40.87, 27.8
0 2 0, 42.73, 24.2
3 0 3, 46.69, 24.4